Starting from DFT lattice parameters and positions (GGA+U), the powder X-ray diffraction pattern of BaVSi2O7 was calculated for Cu Kα.

Most intense lines, 10° ≤ 2θ ≤ 90°, by angle:
Position (°2θ)	intensity
11.4	32
21.3	42
26.1	35
26.8	100
27.4	20
30.4	61
33.0	30
33.2	25
36.9	23
41.7	34
42.5	27
62.1	22

Crystal structure
```
BaVSi2O7
1.0
2.7139 -7.7641 0.0000
2.7139 7.7641 0.0000
0.0000 0.0000 7.1821
Ba V Si O
2 2 4 14
direct
0.2065 0.7935 0.7500
0.7935 0.2065 0.2500
0.1047 0.8953 0.2500
0.8953 0.1047 0.7500
0.3968 0.6032 0.0241
0.3968 0.6032 0.4759
0.6032 0.3968 0.5241
0.6032 0.3968 0.9759
0.0007 0.9993 0.7500
0.1041 0.3975 0.5613
0.1041 0.3975 0.9387
0.3696 0.6304 0.2500
0.3975 0.1041 0.0613
0.3975 0.1041 0.4387
0.5000 0.5000 0.0000
0.5000 0.5000 0.5000
0.6025 0.8959 0.5613
0.6025 0.8959 0.9387
0.6304 0.3696 0.7500
0.8959 0.6025 0.0613
0.8959 0.6025 0.4387
0.9993 0.0007 0.2500
```